Calculated powder diffraction line list
Compound: K3UF6
Radiation: Cu Kα X-rays
Structure: a crystal structure in the Materials Project, relaxed with GGA-PBE
Neutral-atom scattering factors, no anomalous dispersion.

The 12 most intense peaks (15° ≤ 2θ ≤ 90°), most intense first:
2theta  Rel. int.
15.31  100
24.21  64
25.57  54
43.43  36
17.05  33
45.87  22
28.77  20
18.91  18
31.06  17
34.50  17
37.94  17
38.73  14

```
10
Lattice="-3.676 3.676 4.694 3.676 -3.676 4.694 3.676 3.676 -4.694" Properties=species:S:1:pos:R:3 pbc="T T T"
K 0.000 0.000 0.000
K 3.676 0.000 2.347
K 0.000 3.676 2.347
U 0.000 0.000 4.694
F 3.676 1.419 0.000
F 0.000 0.000 2.450
F 1.419 3.676 0.000
F 2.258 0.000 4.694
F 0.000 0.000 6.937
F 0.000 2.258 4.694
```